No. 1
NaLi2Hg3: theoretical X-ray diffraction stick pattern (Cu Kα), based on a cell relaxed with PBE.
Neutral-atom scattering factors, no anomalous dispersion.

Cell and atoms:
Cell: 3.305 3.305 11.513 Å, 90.00 90.00 90.00°
Sites, in units of the cell vectors:
Na  0.000  0.000  0.000
Li  0.000  0.000  0.353
Li  0.000  0.000  0.647
Hg  0.500  0.500  0.203
Hg  0.500  0.500  0.500
Hg  0.500  0.500  0.797

Main lines, in order of rising 2θ (10 to 80 degrees two-theta):
- 2θ = 23.2°, intensity 514
- 2θ = 27.0°, intensity 1000
- 2θ = 35.9°, intensity 906
- 2θ = 38.5°, intensity 504
- 2θ = 41.6°, intensity 223
- 2θ = 45.4°, intensity 363
- 2θ = 55.6°, intensity 176
- 2θ = 62.9°, intensity 196
- 2θ = 63.1°, intensity 189
- 2θ = 68.0°, intensity 287



No. 2
Nd6Dy8Sc: theoretical X-ray diffraction stick pattern (Cu Kα), based on a cell relaxed with PBE.
Neutral-atom scattering factors, no anomalous dispersion.

Cell and atoms:
Cell: 8.686 8.686 8.686 Å, 63.16 63.16 63.16°
Sites, in units of the cell vectors:
Nd  0.041  0.728  0.601
Nd  0.272  0.399  0.959
Nd  0.399  0.959  0.272
Nd  0.601  0.041  0.728
Nd  0.728  0.601  0.041
Nd  0.959  0.272  0.399
Dy  0.077  0.077  0.077
Dy  0.218  0.252  0.612
Dy  0.252  0.612  0.218
Dy  0.388  0.782  0.748
Dy  0.612  0.218  0.252
Dy  0.748  0.388  0.782
Dy  0.782  0.748  0.388
Dy  0.923  0.923  0.923
Sc  0.500  0.500  0.500

Main lines, in order of rising 2θ (10 to 80 degrees two-theta):
- 2θ = 24.2°, intensity 90
- 2θ = 30.3°, intensity 298
- 2θ = 31.3°, intensity 1000
- 2θ = 32.3°, intensity 297
- 2θ = 32.5°, intensity 132
- 2θ = 36.6°, intensity 160
- 2θ = 52.8°, intensity 117
- 2θ = 53.7°, intensity 92
- 2θ = 55.0°, intensity 101
- 2θ = 59.9°, intensity 109



No. 3
TbSm4Pu3Se8: theoretical X-ray diffraction stick pattern (Cu Kα), based on a cell relaxed with PBE.
Neutral-atom scattering factors, no anomalous dispersion.

Cell and atoms:
Cell: 8.322 8.322 8.322 Å, 59.67 59.67 59.67°
Sites, in units of the cell vectors:
Tb  0.000  0.000  0.000
Sm  0.000  0.000  0.500
Sm  0.000  0.500  0.000
Sm  0.500  0.000  0.000
Sm  0.500  0.500  0.500
Pu  0.000  0.500  0.500
Pu  0.500  0.000  0.500
Pu  0.500  0.500  0.000
Se  0.248  0.248  0.750
Se  0.248  0.750  0.248
Se  0.250  0.752  0.752
Se  0.251  0.251  0.251
Se  0.749  0.749  0.749
Se  0.750  0.248  0.248
Se  0.752  0.250  0.752
Se  0.752  0.752  0.250

Main lines, in order of rising 2θ (10 to 80 degrees two-theta):
- 2θ = 26.2°, intensity 73
- 2θ = 26.3°, intensity 215
- 2θ = 30.5°, intensity 1000
- 2θ = 43.5°, intensity 378
- 2θ = 43.7°, intensity 373
- 2θ = 51.7°, intensity 74
- 2θ = 54.2°, intensity 199
- 2θ = 63.4°, intensity 124
- 2θ = 71.8°, intensity 172
- 2θ = 72.1°, intensity 171



No. 4
ZnGeF6: theoretical X-ray diffraction stick pattern (Cu Kα), based on a cell relaxed with PBE.
Neutral-atom scattering factors, no anomalous dispersion.

Cell and atoms:
Cell: 4.964 4.964 9.185 Å, 90.00 90.00 120.00°
Sites, in units of the cell vectors:
Zn  0.333  0.667  0.250
Zn  0.667  0.333  0.750
Ge  0.000  0.000  0.000
Ge  0.000  0.000  0.500
F  0.023  0.313  0.115
F  0.023  0.711  0.385
F  0.289  0.313  0.385
F  0.289  0.977  0.115
F  0.313  0.023  0.615
F  0.313  0.289  0.885
F  0.687  0.711  0.115
F  0.687  0.977  0.385
F  0.711  0.023  0.885
F  0.711  0.687  0.615
F  0.977  0.289  0.615
F  0.977  0.687  0.885

Main lines, in order of rising 2θ (10 to 80 degrees two-theta):
- 2θ = 20.7°, intensity 262
- 2θ = 22.8°, intensity 615
- 2θ = 28.4°, intensity 1000
- 2θ = 36.0°, intensity 130
- 2θ = 36.2°, intensity 171
- 2θ = 41.4°, intensity 243
- 2θ = 46.7°, intensity 232
- 2θ = 54.4°, intensity 471
- 2θ = 60.4°, intensity 232
- 2θ = 65.1°, intensity 181



No. 5
TaSnSb3: theoretical X-ray diffraction stick pattern (Cu Kα), based on a cell relaxed with PBE.
Neutral-atom scattering factors, no anomalous dispersion.

Cell and atoms:
Cell: 5.388 5.388 5.388 Å, 90.00 90.00 90.00°
Sites, in units of the cell vectors:
Ta  0.000  0.000  0.000
Sn  0.500  0.500  0.500
Sb  0.000  0.000  0.500
Sb  0.000  0.500  0.000
Sb  0.500  0.000  0.000

Main lines, in order of rising 2θ (10 to 80 degrees two-theta):
- 2θ = 16.5°, intensity 406
- 2θ = 23.3°, intensity 349
- 2θ = 28.7°, intensity 421
- 2θ = 33.3°, intensity 1000
- 2θ = 37.3°, intensity 209
- 2θ = 41.0°, intensity 167
- 2θ = 47.7°, intensity 726
- 2θ = 56.7°, intensity 182
- 2θ = 59.4°, intensity 251
- 2θ = 79.6°, intensity 328



No. 6
Tb4Al12Tc: theoretical X-ray diffraction stick pattern (Cu Kα), based on a cell relaxed with PBE.
Neutral-atom scattering factors, no anomalous dispersion.

Cell and atoms:
Cell: 7.525 7.525 7.525 Å, 109.47 109.47 109.47°
Sites, in units of the cell vectors:
Tb  0.000  0.000  0.500
Tb  0.000  0.500  0.000
Tb  0.500  0.000  0.000
Tb  0.500  0.500  0.500
Al  0.000  0.288  0.288
Al  0.000  0.712  0.712
Al  0.250  0.500  0.750
Al  0.250  0.750  0.500
Al  0.288  0.000  0.288
Al  0.288  0.288  0.000
Al  0.500  0.250  0.750
Al  0.500  0.750  0.250
Al  0.712  0.000  0.712
Al  0.712  0.712  0.000
Al  0.750  0.250  0.500
Al  0.750  0.500  0.250
Tc  0.000  0.000  0.000

Main lines, in order of rising 2θ (10 to 80 degrees two-theta):
- 2θ = 20.4°, intensity 490
- 2θ = 29.1°, intensity 1000
- 2θ = 35.8°, intensity 670
- 2θ = 41.6°, intensity 504
- 2θ = 46.8°, intensity 264
- 2θ = 51.5°, intensity 384
- 2θ = 60.2°, intensity 321
- 2θ = 64.3°, intensity 132
- 2θ = 68.3°, intensity 199
- 2θ = 72.1°, intensity 236